Record 1
# LiCrP3O9
Computed X-ray powder pattern, CuKα. Input: a DFT-relaxed cell (GGA+U, the Materials Project).
Peak positions follow from Bragg's law for the DFT cell and can differ from measured ones.

Structure:
```
data_LiCrP3O9
_cell_length_a 7.9093
_cell_length_b 8.8029
_cell_length_c 12.7647
_cell_angle_alpha 90.00
_cell_angle_beta 90.00
_cell_angle_gamma 90.00
_space_group_name_H-M_alt 'P 21 21 21'
_space_group_IT_number 19
loop_
_space_group_symop_operation_xyz
'x,y,z'
'-x+1/2,-y,z+1/2'
'x+1/2,-y+1/2,-z'
'-x,y+1/2,-z+1/2'
loop_
_atom_site_label
_atom_site_type_symbol
_atom_site_fract_x
_atom_site_fract_y
_atom_site_fract_z
Li1 Li 0.0099 0.1265 0.0114
Cr1 Cr 0.1374 0.2922 0.3719
P1 P 0.1585 0.0195 0.8108
P2 P 0.2083 0.4966 0.6609
P3 P 0.2472 0.8289 0.1073
O1 O 0.0216 0.4315 0.6887
O2 O 0.0841 0.9185 0.0934
O3 O 0.1368 0.1879 0.5157
O4 O 0.1397 0.1038 0.6986
O5 O 0.1702 0.1321 0.8976
O6 O 0.1889 0.6648 0.1517
O7 O 0.2049 0.5774 0.5581
O8 O 0.2097 0.1011 0.2972
O9 O 0.2191 0.4290 0.2559
```

Largest 10 diffraction maxima, by intensity, 15° ≤ 2θ ≤ 90°:
2θ/deg  d/Å  Rel. int.
22.48  3.955  100
16.59  5.343  76
23.22  3.831  69
24.17  3.682  66
20.53  4.326  66
24.68  3.607  64
17.16  5.167  54
33.60  2.667  48
21.35  4.161  46
24.57  3.623  42

Record 2
# Y2MgV2O8
Computed X-ray powder pattern, CuKα. Input: a DFT-relaxed cell (GGA+U, the Materials Project).
Peak positions follow from Bragg's law for the DFT cell and can differ from measured ones.

Structure:
```
data_Y2MgV2O8
_cell_length_a 6.5656
_cell_length_b 14.4606
_cell_length_c 5.0883
_cell_angle_alpha 90.00
_cell_angle_beta 129.20
_cell_angle_gamma 90.00
_space_group_name_H-M_alt 'C 1 2 1'
_space_group_IT_number 5
loop_
_space_group_symop_operation_xyz
'x,y,z'
'-x,y,-z'
'x+1/2,y+1/2,z'
'-x+1/2,y+1/2,-z'
loop_
_atom_site_label
_atom_site_type_symbol
_atom_site_fract_x
_atom_site_fract_y
_atom_site_fract_z
Y1 Y 0.0000 0.0000 0.0000
Y2 Y 0.0000 0.3270 0.5000
Mg1 Mg 0.0000 0.6705 0.0000
V1 V 0.0000 0.4756 0.0000
V2 V 0.0000 0.8350 0.5000
O1 O 0.1658 0.7504 0.4091
O2 O 0.2100 0.5696 0.0157
O3 O 0.2309 0.4415 0.4689
O4 O 0.2364 0.8762 0.9641
```

Largest 10 diffraction maxima, by intensity, 15° ≤ 2θ ≤ 90°:
2θ/deg  d/Å  Rel. int.
25.73  3.462  100
36.99  2.430  60
29.90  2.989  40
52.74  1.736  22
46.03  1.972  22
52.29  1.750  21
33.63  2.665  17
56.01  1.642  17
35.88  2.503  16
25.45  3.499  16

Record 3
# Sr2YAlFe2O7
Computed X-ray powder pattern, CuKα. Input: a DFT-relaxed cell (GGA+U, the Materials Project).
Peak positions follow from Bragg's law for the DFT cell and can differ from measured ones.

Structure:
```
data_Sr2YAlFe2O7
_cell_length_a 22.1089
_cell_length_b 5.8600
_cell_length_c 5.5996
_cell_angle_alpha 90.00
_cell_angle_beta 90.00
_cell_angle_gamma 90.00
_space_group_name_H-M_alt 'I m a 2'
_space_group_IT_number 46
loop_
_space_group_symop_operation_xyz
'x,y,z'
'-x,-y,z'
'-x+1/2,y,z'
'x+1/2,-y,z'
'x+1/2,y+1/2,z+1/2'
'-x+1/2,-y+1/2,z+1/2'
'-x,y+1/2,z+1/2'
'x,-y+1/2,z+1/2'
loop_
_atom_site_label
_atom_site_type_symbol
_atom_site_fract_x
_atom_site_fract_y
_atom_site_fract_z
Sr1 Sr 0.1557 0.0293 0.0000
Y1 Y 0.0000 0.0000 0.9931
Al1 Al 0.2500 0.5788 0.9869
Fe1 Fe 0.0822 0.5067 0.0022
O1 O 0.0645 0.1987 0.2271
O2 O 0.0714 0.6977 0.2959
O3 O 0.1809 0.0632 0.5410
O4 O 0.2500 0.6706 0.6775
```

Largest 10 diffraction maxima, by intensity, 15° ≤ 2θ ≤ 90°:
2θ/deg  d/Å  Rel. int.
32.87  2.725  100
44.77  2.024  33
30.51  2.930  29
31.97  2.800  29
57.54  1.602  23
55.74  1.649  20
39.48  2.283  12
68.92  1.362  11
49.47  1.843  11
21.96  4.048  10

Record 4
# Mn2OF3
Computed X-ray powder pattern, CuKα. Input: a DFT-relaxed cell (GGA+U, the Materials Project).
Peak positions follow from Bragg's law for the DFT cell and can differ from measured ones.

Structure:
```
data_Mn2OF3
_cell_length_a 6.3935
_cell_length_b 13.3302
_cell_length_c 7.1191
_cell_angle_alpha 90.00
_cell_angle_beta 90.00
_cell_angle_gamma 90.00
_space_group_name_H-M_alt 'C m m m'
_space_group_IT_number 65
_space_group_name_Hall '-C 2 2'
loop_
_atom_site_label
_atom_site_type_symbol
_atom_site_fract_x
_atom_site_fract_y
_atom_site_fract_z
Mn1 Mn 0.0000 0.0000 0.0000
Mn2 Mn 0.0000 0.2425 0.5000
Mn3 Mn 0.0000 0.5000 0.0000
Mn4 Mn 0.2354 0.0000 0.5000
Mn5 Mn 0.2500 0.2500 0.0000
O1 O 0.0000 0.0926 0.5000
O2 O 0.0000 0.3456 0.0000
F1 F 0.0000 0.1528 0.0000
F2 F 0.0000 0.4049 0.5000
F3 F 0.2437 0.5000 0.1946
F4 F 0.2500 0.2500 0.3031
```

Largest 10 diffraction maxima, by intensity, 15° ≤ 2θ ≤ 90°:
2θ/deg  d/Å  Rel. int.
25.02  3.560  100
33.54  2.672  93
26.75  3.333  93
49.77  1.832  67
51.73  1.767  57
64.42  1.446  47
51.34  1.780  21
37.83  2.378  20
57.67  1.598  19
39.04  2.307  18

Record 5
# CaLaFeBiO6
Computed X-ray powder pattern, CuKα. Input: a DFT-relaxed cell (GGA+U, the Materials Project).
Peak positions follow from Bragg's law for the DFT cell and can differ from measured ones.

Structure:
```
data_CaLaFeBiO6
_cell_length_a 5.7562
_cell_length_b 5.7562
_cell_length_c 8.5679
_cell_angle_alpha 90.00
_cell_angle_beta 90.00
_cell_angle_gamma 90.00
_space_group_name_H-M_alt 'I -4'
_space_group_IT_number 82
loop_
_space_group_symop_operation_xyz
'x,y,z'
'y,-x,-z'
'-x,-y,z'
'-y,x,-z'
'x+1/2,y+1/2,z+1/2'
'y+1/2,-x+1/2,-z+1/2'
'-x+1/2,-y+1/2,z+1/2'
'-y+1/2,x+1/2,-z+1/2'
loop_
_atom_site_label
_atom_site_type_symbol
_atom_site_fract_x
_atom_site_fract_y
_atom_site_fract_z
Ca1 Ca 0.0000 0.0000 0.0000
La1 La 0.0000 0.5000 0.2500
Fe1 Fe 0.0000 0.5000 0.7500
Bi1 Bi 0.0000 0.0000 0.5000
O1 O 0.0000 0.5000 0.5155
O2 O 0.1316 0.8125 0.7457
```

Largest 10 diffraction maxima, by intensity, 15° ≤ 2θ ≤ 90°:
2θ/deg  d/Å  Rel. int.
30.29  2.951  100
18.57  4.778  62
31.07  2.878  62
54.80  1.675  48
36.44  2.465  30
53.31  1.718  26
44.52  2.035  26
42.19  2.142  19
63.00  1.475  18
47.55  1.912  15

Record 6
# Li3MnCo2O6
Computed X-ray powder pattern, CuKα. Input: a DFT-relaxed cell (GGA+U, the Materials Project).
Peak positions follow from Bragg's law for the DFT cell and can differ from measured ones.

Structure:
```
data_Li3MnCo2O6
_cell_length_a 2.9791
_cell_length_b 7.6732
_cell_length_c 9.8443
_cell_angle_alpha 91.94
_cell_angle_beta 97.98
_cell_angle_gamma 99.92
_space_group_name_H-M_alt 'P 1'
_space_group_IT_number 1
loop_
_space_group_symop_operation_xyz
'x,y,z'
loop_
_atom_site_label
_atom_site_type_symbol
_atom_site_fract_x
_atom_site_fract_y
_atom_site_fract_z
Li1 Li 0.0000 0.0000 0.0000
Li2 Li 0.1571 0.8284 0.5008
Li3 Li 0.3260 0.6719 0.9989
Li4 Li 0.4919 0.4862 0.4964
Li5 Li 0.6604 0.3298 0.9946
Li6 Li 0.8179 0.1582 0.4951
Mn1 Mn 0.4083 0.0794 0.7476
Mn2 Mn 0.9099 0.5789 0.2476
Co1 Co 0.0872 0.4156 0.7471
Co2 Co 0.2623 0.2330 0.2472
Co3 Co 0.5560 0.9250 0.2480
Co4 Co 0.7304 0.7430 0.7481
O1 O 0.0606 0.2148 0.8611
O2 O 0.1143 0.6125 0.6307
O3 O 0.1820 0.0324 0.3707
O4 O 0.3104 0.4719 0.1389
O5 O 0.3535 0.8784 0.8619
O6 O 0.4640 0.2801 0.6333
O7 O 0.5091 0.6863 0.3564
O8 O 0.6360 0.1258 0.1245
O9 O 0.7032 0.5457 0.8645
O10 O 0.7568 0.9437 0.6342
O11 O 0.8755 0.3748 0.3562
O12 O 0.9432 0.7832 0.1390
```

Largest 10 diffraction maxima, by intensity, 15° ≤ 2θ ≤ 90°:
2θ/deg  d/Å  Rel. int.
18.23  4.866  100
42.28  2.138  28
43.38  2.086  25
44.24  2.047  24
35.05  2.560  16
35.88  2.503  14
36.36  2.471  13
47.52  1.913  9
37.49  2.399  9
62.36  1.489  7

Record 7
# AlCu3Mo4O12
Computed X-ray powder pattern, CuKα. Input: a DFT-relaxed cell (GGA+U, the Materials Project).
Peak positions follow from Bragg's law for the DFT cell and can differ from measured ones.

Structure:
```
data_AlCu3Mo4O12
_cell_length_a 7.6672
_cell_length_b 7.6672
_cell_length_c 7.6672
_cell_angle_alpha 90.00
_cell_angle_beta 90.00
_cell_angle_gamma 90.00
_space_group_name_H-M_alt 'I m -3'
_space_group_IT_number 204
_space_group_name_Hall '-I 2 2 3'
loop_
_atom_site_label
_atom_site_type_symbol
_atom_site_fract_x
_atom_site_fract_y
_atom_site_fract_z
Al1 Al 0.0000 0.0000 0.0000
Cu1 Cu 0.0000 0.0000 0.5000
Mo1 Mo 0.2500 0.2500 0.2500
O1 O 0.0000 0.1694 0.3034
```

Largest 10 diffraction maxima, by intensity, 15° ≤ 2θ ≤ 90°:
2θ/deg  d/Å  Rel. int.
33.05  2.711  100
59.02  1.565  48
47.43  1.917  25
78.98  1.212  17
23.20  3.834  13
69.33  1.355  12
53.44  1.714  6
88.31  1.107  4
28.52  3.130  4
37.08  2.425  3

Please write out number 5 again, unchanged.
# CaLaFeBiO6
Computed X-ray powder pattern, CuKα. Input: a DFT-relaxed cell (GGA+U, the Materials Project).
Peak positions follow from Bragg's law for the DFT cell and can differ from measured ones.

Structure:
```
data_CaLaFeBiO6
_cell_length_a 5.7562
_cell_length_b 5.7562
_cell_length_c 8.5679
_cell_angle_alpha 90.00
_cell_angle_beta 90.00
_cell_angle_gamma 90.00
_space_group_name_H-M_alt 'I -4'
_space_group_IT_number 82
loop_
_space_group_symop_operation_xyz
'x,y,z'
'y,-x,-z'
'-x,-y,z'
'-y,x,-z'
'x+1/2,y+1/2,z+1/2'
'y+1/2,-x+1/2,-z+1/2'
'-x+1/2,-y+1/2,z+1/2'
'-y+1/2,x+1/2,-z+1/2'
loop_
_atom_site_label
_atom_site_type_symbol
_atom_site_fract_x
_atom_site_fract_y
_atom_site_fract_z
Ca1 Ca 0.0000 0.0000 0.0000
La1 La 0.0000 0.5000 0.2500
Fe1 Fe 0.0000 0.5000 0.7500
Bi1 Bi 0.0000 0.0000 0.5000
O1 O 0.0000 0.5000 0.5155
O2 O 0.1316 0.8125 0.7457
```

Largest 10 diffraction maxima, by intensity, 15° ≤ 2θ ≤ 90°:
2θ/deg  d/Å  Rel. int.
30.29  2.951  100
18.57  4.778  62
31.07  2.878  62
54.80  1.675  48
36.44  2.465  30
53.31  1.718  26
44.52  2.035  26
42.19  2.142  19
63.00  1.475  18
47.55  1.912  15